Calculated X-ray diffraction stick pattern
Compound: Nd2Al9Ni3
Radiation: Cu Ka
Structure: a crystal structure in Alexandria, relaxed with GGA-PBE
Kinematic intensities with the Lorentz-polarization factor, no thermal factor.

Unit cell a=7.541 b=7.541 c=10.443 alpha=111.26 beta=111.26 gamma=59.68
Positions (direct):
Nd 0.085 0.253 0.250
Nd 0.253 0.085 0.750
Nd 0.747 0.915 0.250
Nd 0.915 0.747 0.750
Al 0.023 0.856 0.068
Al 0.144 0.977 0.432
Al 0.192 0.356 0.567
Al 0.211 0.582 0.252
Al 0.317 0.486 0.954
Al 0.356 0.192 0.067
Al 0.371 0.629 0.750
Al 0.418 0.789 0.248
Al 0.486 0.317 0.454
Al 0.514 0.683 0.546
Al 0.582 0.211 0.752
Al 0.629 0.371 0.250
Al 0.644 0.808 0.933
Al 0.683 0.514 0.046
Al 0.789 0.418 0.748
Al 0.808 0.644 0.433
Al 0.856 0.023 0.568
Al 0.977 0.144 0.932
Ni 0.000 0.500 0.000
Ni 0.162 0.670 0.500
Ni 0.330 0.838 0.000
Ni 0.500 0.000 0.500
Ni 0.670 0.162 0.000
Ni 0.838 0.330 0.500

Top 6 peaks for 15° ≤ 2θ ≤ 90°, sorted by position:
- 2θ 25.42, rel. 48
- 2θ 30.28, rel. 46
- 2θ 37.13, rel. 100
- 2θ 37.94, rel. 33
- 2θ 41.41, rel. 31
- 2θ 41.62, rel. 61

---

Calculated X-ray diffraction stick pattern
Compound: Tl3GaSn
Radiation: Cu Ka
Structure: a crystal structure in Alexandria, relaxed with GGA-PBE
Kinematic intensities with the Lorentz-polarization factor, no thermal factor.

Unit cell a=9.201 b=5.668 c=11.155 alpha=90.00 beta=97.95 gamma=90.00
Positions (direct):
Tl 0.021 0.074 0.346
Tl 0.021 0.426 0.846
Tl 0.322 0.006 0.889
Tl 0.322 0.494 0.389
Tl 0.335 0.509 0.063
Tl 0.335 0.991 0.563
Tl 0.665 0.009 0.437
Tl 0.665 0.491 0.937
Tl 0.678 0.506 0.611
Tl 0.678 0.994 0.111
Tl 0.979 0.574 0.154
Tl 0.979 0.926 0.654
Ga 0.097 0.092 0.082
Ga 0.097 0.408 0.582
Ga 0.903 0.592 0.418
Ga 0.903 0.908 0.918
Sn 0.360 0.514 0.736
Sn 0.360 0.986 0.236
Sn 0.640 0.014 0.764
Sn 0.640 0.486 0.264

Top 6 peaks for 15° ≤ 2θ ≤ 90°, sorted by position:
- 2θ 29.40, rel. 44
- 2θ 31.62, rel. 100
- 2θ 33.10, rel. 82
- 2θ 43.68, rel. 25
- 2θ 52.61, rel. 12
- 2θ 55.49, rel. 14

---

Calculated X-ray diffraction stick pattern
Compound: PmTiP2Ru
Radiation: Cu Ka
Structure: a crystal structure in Alexandria, relaxed with GGA-PBE
Kinematic intensities with the Lorentz-polarization factor, no thermal factor.

Unit cell a=6.392 b=6.392 c=6.392 alpha=144.39 beta=144.39 gamma=51.25
Positions (direct):
Pm 0.000 0.000 0.000
Ti 0.750 0.250 0.500
P 0.376 0.376 0.000
P 0.624 0.624 0.000
Ru 0.250 0.750 0.500

Top 6 peaks for 15° ≤ 2θ ≤ 90°, sorted by position:
- 2θ 24.04, rel. 42
- 2θ 31.03, rel. 23
- 2θ 32.68, rel. 57
- 2θ 36.03, rel. 100
- 2θ 46.46, rel. 34
- 2θ 58.51, rel. 23

---

Calculated X-ray diffraction stick pattern
Compound: ThNpTe6
Radiation: Cu Ka
Structure: a crystal structure in Alexandria, relaxed with GGA-PBE
Kinematic intensities with the Lorentz-polarization factor, no thermal factor.

Unit cell a=4.437 b=13.339 c=13.339 alpha=19.14 beta=90.00 gamma=90.00
Positions (direct):
Th 0.000 0.000 0.000
Np 0.500 0.662 0.662
Te 0.000 0.125 0.125
Te 0.000 0.408 0.408
Te 0.000 0.751 0.751
Te 0.500 0.250 0.250
Te 0.500 0.537 0.537
Te 0.500 0.908 0.908

Top 6 peaks for 15° ≤ 2θ ≤ 90°, sorted by position:
- 2θ 27.12, rel. 41
- 2θ 28.65, rel. 44
- 2θ 30.26, rel. 100
- 2θ 33.25, rel. 67
- 2θ 37.34, rel. 54
- 2θ 40.67, rel. 69

---

Calculated X-ray diffraction stick pattern
Compound: Cd5In4Sn
Radiation: Cu Ka
Structure: a crystal structure in Alexandria, relaxed with GGA-PBE
Kinematic intensities with the Lorentz-polarization factor, no thermal factor.

Unit cell a=9.462 b=10.143 c=5.505 alpha=90.00 beta=90.00 gamma=90.00
Positions (direct):
Cd 0.074 0.019 0.241
Cd 0.074 0.481 0.241
Cd 0.250 0.250 0.094
Cd 0.426 0.019 0.241
Cd 0.426 0.481 0.241
Cd 0.574 0.519 0.759
Cd 0.574 0.981 0.759
Cd 0.750 0.750 0.906
Cd 0.926 0.519 0.759
Cd 0.926 0.981 0.759
In 0.077 0.250 0.615
In 0.250 0.583 0.752
In 0.250 0.917 0.752
In 0.423 0.250 0.615
In 0.577 0.750 0.385
In 0.750 0.083 0.248
In 0.750 0.417 0.248
In 0.923 0.750 0.385
Sn 0.250 0.750 0.248
Sn 0.750 0.250 0.752

Top 6 peaks for 15° ≤ 2θ ≤ 90°, sorted by position:
- 2θ 29.66, rel. 19
- 2θ 31.04, rel. 37
- 2θ 32.53, rel. 25
- 2θ 35.40, rel. 21
- 2θ 37.34, rel. 100
- 2θ 40.31, rel. 20

---

Calculated X-ray diffraction stick pattern
Compound: NiTe
Radiation: Cu Ka
Structure: a crystal structure in Alexandria, relaxed with GGA-PBE
Kinematic intensities with the Lorentz-polarization factor, no thermal factor.

Unit cell a=10.391 b=10.391 c=3.889 alpha=90.00 beta=90.00 gamma=90.00
Positions (direct):
Ni 0.039 0.379 0.000
Ni 0.118 0.691 0.500
Ni 0.309 0.118 0.500
Ni 0.379 0.961 0.000
Ni 0.621 0.039 0.000
Ni 0.691 0.882 0.500
Ni 0.882 0.309 0.500
Ni 0.961 0.621 0.000
Te 0.117 0.254 0.500
Te 0.198 0.563 0.000
Te 0.254 0.883 0.500
Te 0.437 0.198 0.000
Te 0.563 0.802 0.000
Te 0.746 0.117 0.500
Te 0.802 0.437 0.000
Te 0.883 0.746 0.500

Top 6 peaks for 15° ≤ 2θ ≤ 90°, sorted by position:
- 2θ 24.44, rel. 41
- 2θ 27.14, rel. 100
- 2θ 29.96, rel. 92
- 2θ 42.75, rel. 40
- 2θ 45.47, rel. 61
- 2θ 49.74, rel. 67

---

Calculated X-ray diffraction stick pattern
Compound: Ho3Sb5O12
Radiation: Cu Ka
Structure: a crystal structure in Alexandria, relaxed with GGA-PBE
Kinematic intensities with the Lorentz-polarization factor, no thermal factor.

Unit cell a=9.399 b=9.399 c=9.399 alpha=109.47 beta=109.47 gamma=109.47
Positions (direct):
Ho 0.250 0.500 0.750
Ho 0.250 0.750 0.500
Ho 0.500 0.250 0.750
Ho 0.500 0.750 0.250
Ho 0.750 0.250 0.500
Ho 0.750 0.500 0.250
Sb 0.000 0.000 0.515
Sb 0.000 0.283 0.283
Sb 0.000 0.515 0.000
Sb 0.000 0.717 0.717
Sb 0.283 0.000 0.283
Sb 0.283 0.283 0.000
Sb 0.485 0.485 0.485
Sb 0.515 0.000 0.000
Sb 0.717 0.000 0.717
Sb 0.717 0.717 0.000
O 0.000 0.202 0.479
O 0.000 0.479 0.202
O 0.000 0.501 0.704
O 0.000 0.704 0.501
O 0.202 0.000 0.479
O 0.202 0.479 0.000
O 0.203 0.499 0.499
O 0.277 0.798 0.798
O 0.296 0.296 0.797
O 0.296 0.797 0.296
O 0.479 0.000 0.202
O 0.479 0.202 0.000
O 0.499 0.203 0.499
O 0.499 0.499 0.203
O 0.501 0.000 0.704
O 0.501 0.704 0.000
O 0.521 0.521 0.723
O 0.521 0.723 0.521
O 0.704 0.000 0.501
O 0.704 0.501 0.000
O 0.723 0.521 0.521
O 0.797 0.296 0.296
O 0.798 0.277 0.798
O 0.798 0.798 0.277

Top 6 peaks for 15° ≤ 2θ ≤ 90°, sorted by position:
- 2θ 28.49, rel. 100
- 2θ 33.01, rel. 35
- 2θ 47.39, rel. 42
- 2θ 56.22, rel. 38
- 2θ 76.52, rel. 13
- 2θ 78.89, rel. 11

---

Calculated X-ray diffraction stick pattern
Compound: DyTh11
Radiation: Cu Ka
Structure: a crystal structure in Alexandria, relaxed with GGA-PBE
Kinematic intensities with the Lorentz-polarization factor, no thermal factor.

Unit cell a=11.384 b=11.384 c=3.490 alpha=90.00 beta=90.00 gamma=120.00
Positions (direct):
Dy 0.000 0.000 0.000
Th 0.000 0.500 0.000
Th 0.171 0.343 0.500
Th 0.171 0.829 0.500
Th 0.333 0.667 0.000
Th 0.343 0.171 0.500
Th 0.500 0.000 0.000
Th 0.500 0.500 0.000
Th 0.657 0.829 0.500
Th 0.667 0.333 0.000
Th 0.829 0.171 0.500
Th 0.829 0.657 0.500

Top 6 peaks for 15° ≤ 2θ ≤ 90°, sorted by position:
- 2θ 30.03, rel. 15
- 2θ 31.43, rel. 100
- 2θ 35.23, rel. 11
- 2θ 45.03, rel. 12
- 2θ 55.96, rel. 26
- 2θ 62.43, rel. 20

---

Calculated X-ray diffraction stick pattern
Compound: Nb2NiB3
Radiation: Cu Ka
Structure: a crystal structure in Alexandria, relaxed with GGA-PBE
Kinematic intensities with the Lorentz-polarization factor, no thermal factor.

Unit cell a=6.605 b=6.570 c=4.714 alpha=69.43 beta=68.64 gamma=41.93
Positions (direct):
Nb 0.241 0.759 0.241
Nb 0.250 0.250 0.250
Nb 0.750 0.750 0.750
Nb 0.759 0.241 0.759
Ni 0.333 0.333 0.667
Ni 0.667 0.667 0.333
B 0.156 0.685 0.844
B 0.158 0.158 0.842
B 0.315 0.844 0.685
B 0.685 0.156 0.315
B 0.842 0.842 0.158
B 0.844 0.315 0.156

Top 6 peaks for 15° ≤ 2θ ≤ 90°, sorted by position:
- 2θ 31.36, rel. 42
- 2θ 31.49, rel. 21
- 2θ 41.48, rel. 100
- 2θ 41.59, rel. 49
- 2θ 55.99, rel. 28
- 2θ 71.88, rel. 18

---

Calculated X-ray diffraction stick pattern
Compound: BaCa2I6
Radiation: Cu Ka
Structure: a crystal structure in Alexandria, relaxed with GGA-PBE
Kinematic intensities with the Lorentz-polarization factor, no thermal factor.

Unit cell a=7.994 b=8.752 c=14.191 alpha=90.00 beta=124.26 gamma=90.00
Positions (direct):
Ba 0.000 0.141 0.000
Ba 0.000 0.859 0.500
Ca 0.217 0.260 0.748
Ca 0.217 0.740 0.248
Ca 0.721 0.259 0.252
Ca 0.721 0.741 0.752
I 0.095 0.055 0.310
I 0.095 0.945 0.810
I 0.323 0.428 0.184
I 0.323 0.572 0.684
I 0.475 0.056 0.689
I 0.475 0.944 0.189
I 0.599 0.296 0.000
I 0.599 0.704 0.500
I 0.829 0.220 0.500
I 0.829 0.780 0.000
I 0.955 0.429 0.816
I 0.955 0.571 0.316

Top 6 peaks for 15° ≤ 2θ ≤ 90°, sorted by position:
- 2θ 24.44, rel. 68
- 2θ 25.37, rel. 100
- 2θ 25.65, rel. 48
- 2θ 27.36, rel. 31
- 2θ 27.78, rel. 41
- 2θ 38.51, rel. 33

---

Calculated X-ray diffraction stick pattern
Compound: In6AgHg4
Radiation: Cu Ka
Structure: a crystal structure in Alexandria, relaxed with GGA-PBE
Kinematic intensities with the Lorentz-polarization factor, no thermal factor.

Unit cell a=6.114 b=6.127 c=8.784 alpha=109.48 beta=108.93 gamma=91.14
Positions (direct):
In 0.000 0.000 0.000
In 0.004 0.567 0.637
In 0.034 0.642 0.285
In 0.382 0.377 0.961
In 0.522 0.983 0.637
In 0.641 0.052 0.306
Ag 0.016 0.056 0.638
Hg 0.199 0.207 0.396
Hg 0.471 0.844 0.922
Hg 0.550 0.556 0.344
Hg 0.838 0.454 0.895

Top 6 peaks for 15° ≤ 2θ ≤ 90°, sorted by position:
- 2θ 29.19, rel. 73
- 2θ 32.95, rel. 100
- 2θ 33.61, rel. 61
- 2θ 34.71, rel. 64
- 2θ 37.83, rel. 72
- 2θ 43.90, rel. 66